This entry pairs a crystal structure of TaBeNbB with its theoretical powder diffraction line list. Radiation: Cu Kα. Structure: a DFT-relaxed cell (PBE, Alexandria).
Peak positions follow from Bragg's law for the DFT cell and can differ from measured ones.

Most intense lines, 10 to 80 degrees two-theta, sorted by position:
(hkl)  two_theta  I_rel
0 0 2  19.78  28
0 1 1  28.58  63
1 0 2  33.85  97
1 1 1  39.86  100
0 0 4  40.19  27
0 1 3  40.53  62
1 1 3  49.49  20
1 1 5  65.57  30
1 2 2  66.29  28
2 1 3  71.45  23

Structural model:
```
TaBeNbB
1.0
3.280 0.000 0.000
0.000 3.332 0.000
0.000 0.000 8.975
Ta Be Nb B
2 2 2 2
direct
0.000 0.000 0.000
0.000 0.500 0.500
0.000 0.000 0.294
0.000 0.500 0.794
0.500 0.000 0.708
0.500 0.500 0.208
0.500 0.000 0.420
0.500 0.500 0.920
```